# 1
This entry pairs a crystal structure of CuSbIrPt with its calculated powder XRD pattern. Radiation: copper Kα. Structure: a DFT-relaxed cell (PBE, OQMD).
Intensities are scaled so that the largest is 100.

Crystal structure
```
CuSbIrPt
1.0
6.3796 0.0000 0.0000
0.0000 6.3796 0.0000
0.0000 0.0000 6.3796
Cu Sb Ir Pt
4 4 4 4
Cartesian
0.0000 0.0000 0.0000
0.0000 3.1898 3.1898
3.1898 0.0000 3.1898
3.1898 3.1898 0.0000
1.5949 1.5949 4.7847
1.5949 4.7847 1.5949
4.7847 1.5949 1.5949
4.7847 4.7847 4.7847
1.5949 1.5949 1.5949
1.5949 4.7847 4.7847
4.7847 1.5949 4.7847
4.7847 4.7847 1.5949
0.0000 0.0000 3.1898
0.0000 3.1898 0.0000
3.1898 0.0000 0.0000
3.1898 3.1898 3.1898
```

Largest 8 diffraction maxima, most intense first, 10 to 80 degrees two-theta:
d_spacing	2theta	I_rel
2.256	39.97	100
1.302	72.60	34
1.595	57.81	17
3.683	24.16	14
1.924	47.25	8
1.464	63.57	3
1.228	77.79	3
3.190	27.97	1



# 2
This entry pairs a crystal structure of LaPr2Zn2Cu2Si4 with its calculated powder XRD pattern. Radiation: copper Kα. Structure: a DFT-relaxed cell (PBE, OQMD).
Intensities are scaled so that the largest is 100.

Crystal structure
```
LaPr2Zn2Cu2Si4
1.0
-2.0930 2.1102 12.1320
2.0930 -2.1102 12.1320
2.0930 2.1102 -12.1320
La Pr Zn Cu Si
1 2 2 2 4
Cartesian
0.0000 0.0000 0.0000
2.0930 0.0000 3.6871
0.0000 2.1102 8.4449
2.0930 0.0000 9.7350
0.0000 2.1102 2.3970
0.0000 0.0000 6.0682
0.0000 0.0000 18.1958
2.0930 0.0000 7.3227
0.0000 0.0000 10.9402
0.0000 0.0000 13.3238
0.0000 2.1102 4.8092
```

Largest 10 diffraction maxima, most intense first, 10 to 80 degrees two-theta:
d_spacing	2theta	I_rel
2.669	33.58	100
2.679	33.45	35
3.718	23.94	24
2.110	42.86	21
2.267	39.76	21
2.093	43.22	21
1.649	55.74	16
1.351	69.60	14
1.486	62.50	13
1.303	72.57	13



# 3
This entry pairs a crystal structure of PrGa6 with its calculated powder XRD pattern. Radiation: copper Kα. Structure: a DFT-relaxed cell (PBE, OQMD).
Intensities are scaled so that the largest is 100.

Crystal structure
```
PrGa6
1.0
6.0822 0.0000 0.0000
0.0000 6.0822 0.0000
0.0000 0.0000 7.7370
Pr Ga
2 12
Cartesian
1.5205 4.5616 0.0000
4.5616 1.5205 0.0000
0.3356 3.3767 2.7012
0.3356 5.7466 5.0358
1.5205 1.5205 1.2517
1.5205 1.5205 6.4853
2.7055 3.3767 5.0358
2.7055 5.7466 2.7012
3.3767 0.3356 5.0358
3.3767 2.7055 2.7012
4.5616 4.5616 1.2517
4.5616 4.5616 6.4853
5.7466 0.3356 2.7012
5.7466 2.7055 5.0358
```

Largest 10 diffraction maxima, most intense first, 10 to 80 degrees two-theta:
d_spacing	2theta	I_rel
2.830	31.61	100
2.212	40.80	41
2.150	42.02	40
2.876	31.10	33
2.566	34.97	26
2.225	40.54	23
1.722	53.18	20
1.253	75.94	15
1.364	68.84	15
1.379	68.01	15



# 4
This entry pairs a crystal structure of Gd3P11 with its calculated powder XRD pattern. Radiation: copper Kα. Structure: a DFT-relaxed cell (PBE, OQMD).
Intensities are scaled so that the largest is 100.

Crystal structure
```
Gd3P11
1.0
7.4187 -3.6596 0.0000
7.4187 3.6596 0.0000
-0.9403 0.0000 5.6612
Gd P
3 11
Cartesian
0.0000 0.0000 0.0000
4.0692 0.0000 5.2184
9.1914 0.0000 1.0761
8.9427 -2.5091 4.8374
5.8202 1.9045 1.5186
5.7778 1.7431 3.6767
2.5866 0.0000 1.6823
8.9427 2.5091 4.8374
9.9900 1.9427 3.0236
7.0859 0.0000 4.0028
5.8202 -1.9045 1.5186
5.7778 -1.7431 3.6767
12.0731 0.0000 0.8409
9.9900 -1.9427 3.0236
```

Largest 10 diffraction maxima, most intense first, 10 to 80 degrees two-theta:
d_spacing	2theta	I_rel
4.060	21.89	100
3.073	29.05	100
3.105	28.75	86
5.661	15.65	82
4.135	21.49	73
2.531	35.46	62
2.610	34.36	59
2.223	40.58	58
1.831	49.79	53
3.660	24.32	53



# 5
This entry pairs a crystal structure of CsTcNClO4 with its calculated powder XRD pattern. Radiation: copper Kα. Structure: a DFT-relaxed cell (PBE, OQMD).
Intensities are scaled so that the largest is 100.

Crystal structure
```
CsTcNClO4
1.0
6.2754 0.0000 0.0000
0.0000 8.4526 0.0000
0.0000 0.0000 11.3254
Cs Tc N Cl O
4 4 4 4 16
Cartesian
1.3866 0.9621 1.9831
1.7511 7.4905 7.6458
4.5243 3.2642 9.3423
4.8887 5.1884 3.6796
1.3184 3.5905 6.2991
1.8193 4.8621 0.6364
4.4561 0.6358 5.0263
4.9569 7.8168 10.6889
0.0529 0.2435 10.4199
3.0848 8.2091 4.7572
3.1906 3.9828 0.9055
6.2225 4.4698 6.5682
1.3476 2.3556 8.3078
1.7901 6.0970 2.6451
4.4853 1.8707 3.0176
4.9278 6.5818 8.6803
0.3727 3.8011 1.4511
0.5082 3.5148 0.0470
0.7156 1.9411 5.3926
1.1479 2.9520 4.4523
1.9898 5.5006 10.1150
2.4220 6.5115 11.0553
2.6295 4.9378 5.7096
2.7650 4.6515 7.1138
3.5104 0.4252 9.8743
3.6459 0.7115 11.2784
3.8533 2.2852 5.9328
4.2856 1.2743 6.8731
5.1275 7.1782 1.2104
5.5597 6.1674 0.2701
5.7672 7.7411 5.6157
5.9027 8.0274 4.2116
```

Largest 10 diffraction maxima, most intense first, 10 to 80 degrees two-theta:
d_spacing	2theta	I_rel
4.204	21.13	100
3.764	23.64	92
3.349	26.62	76
3.960	22.45	61
3.138	28.45	43
2.685	33.37	43
2.459	36.54	39
2.569	34.93	28
2.040	44.41	24
3.447	25.85	23



# 6
This entry pairs a crystal structure of Dy2Y3TmAs2Os with its calculated powder XRD pattern. Radiation: copper Kα. Structure: a DFT-relaxed cell (PBE, OQMD).
Intensities are scaled so that the largest is 100.

Crystal structure
```
Dy2Y3TmAs2Os
1.0
4.1505 0.0000 0.0000
0.0000 6.7986 3.9527
0.0000 -6.7986 3.9527
Dy Y Tm As Os
2 3 1 2 1
Cartesian
0.0000 -5.1434 3.9527
0.0000 5.1434 3.9527
2.0753 -2.7517 2.5641
2.0753 2.7517 2.5641
2.0753 0.0000 5.6431
0.0000 0.0000 2.9038
0.0000 -2.2467 4.9094
0.0000 2.2467 4.9094
2.0753 0.0000 1.0202
```

Largest 10 diffraction maxima, most intense first, 10 to 80 degrees two-theta:
d_spacing	2theta	I_rel
2.857	31.31	100
6.821	12.98	75
2.638	33.98	73
2.188	41.26	54
2.574	34.85	45
2.630	34.09	35
2.075	43.61	32
1.462	63.63	29
2.195	41.11	28
2.278	39.56	24



# 7
This entry pairs a crystal structure of PrScS3 with its calculated powder XRD pattern. Radiation: copper Kα. Structure: a DFT-relaxed cell (PBE, OQMD).
Intensities are scaled so that the largest is 100.

Crystal structure
```
PrScS3
1.0
7.1830 0.0000 0.0000
0.0000 6.5248 0.0000
0.0000 0.0000 9.5961
Pr Sc S
4 4 12
Cartesian
0.6961 0.2336 0.0000
2.8954 3.4960 4.7980
4.2876 3.0288 0.0000
6.4870 6.2912 4.7980
0.0046 3.2643 7.1983
3.5869 0.0019 2.4003
3.5962 6.5230 7.1983
7.1784 3.2605 2.4003
0.2485 2.4494 4.7972
1.3465 5.3555 2.9867
1.3541 5.3542 6.6080
2.2374 2.0918 1.8099
2.2451 2.0931 7.7847
3.3430 5.7118 9.5952
3.8400 0.8130 4.7972
4.9380 4.4317 2.9867
4.9456 4.4330 6.6080
5.8289 1.1706 1.8099
5.8366 1.1693 7.7847
6.9346 4.0754 9.5952
```

Largest 10 diffraction maxima, most intense first, 10 to 80 degrees two-theta:
d_spacing	2theta	I_rel
3.404	26.18	100
4.314	20.59	61
2.189	41.25	42
2.342	38.44	38
2.667	33.61	38
1.910	47.62	38
2.838	31.53	32
2.389	37.66	31
3.364	26.50	30
2.399	37.49	29



# 8
This entry pairs a crystal structure of LuTlCdTe3 with its calculated powder XRD pattern. Radiation: copper Kα. Structure: a DFT-relaxed cell (PBE, OQMD).
Intensities are scaled so that the largest is 100.

Crystal structure
```
LuTlCdTe3
1.0
8.6945 0.0000 0.0000
0.0000 4.7017 0.0000
0.0000 0.0000 18.4207
Lu Tl Cd Te
4 4 4 12
Cartesian
2.0405 1.1754 0.7108
2.3068 3.5262 9.9212
6.3878 1.1754 8.4995
6.6540 3.5262 17.7099
0.4663 1.1754 14.7901
3.8810 3.5262 5.5797
4.8136 1.1754 12.8410
8.2282 3.5262 3.6306
0.7510 1.1754 6.2894
3.5962 3.5262 15.4998
5.0983 1.1754 2.9209
7.9435 3.5262 12.1313
0.0368 1.1754 10.5957
1.0881 3.5262 17.3845
2.0600 1.1754 3.7585
2.2873 3.5262 12.9689
3.2591 1.1754 8.1742
4.3104 3.5262 1.3853
4.3841 1.1754 17.0354
5.4354 3.5262 10.2465
6.4072 1.1754 5.4518
6.6345 3.5262 14.6622
7.6064 1.1754 1.0361
8.6577 3.5262 7.8250
```

Largest 10 diffraction maxima, most intense first, 10 to 80 degrees two-theta:
d_spacing	2theta	I_rel
3.077	29.02	100
3.145	28.38	49
2.351	38.29	41
2.765	32.38	28
2.751	32.55	22
2.412	37.27	21
2.445	36.75	21
3.016	29.62	21
3.392	26.27	18
2.107	42.91	18